[1]
This entry pairs a crystal structure of NaVPO5 with its computed powder XRD pattern. Radiation: Cu Kα (λ = 1.5418 Å). Structure: a crystal structure in Alexandria, relaxed with GGA+U.

Structure:
```
NaVPO5
1.0
7.4269 0.0000 0.0000
0.0000 6.4863 0.0000
0.0000 0.0000 7.8490
Na V P O
4 4 4 20
Direct
0.0000 0.0000 0.0000
0.0000 0.5000 0.0000
0.5000 0.0000 0.5000
0.5000 0.5000 0.5000
0.1679 0.2500 0.2863
0.3321 0.7500 0.7863
0.6679 0.2500 0.2137
0.8321 0.7500 0.7137
0.1234 0.7500 0.3942
0.3766 0.2500 0.8942
0.6234 0.7500 0.1058
0.8766 0.2500 0.6058
0.0576 0.2500 0.5085
0.1036 0.7500 0.8194
0.1351 0.5592 0.2749
0.1351 0.9408 0.2749
0.2162 0.2500 0.0222
0.2838 0.7500 0.5222
0.3649 0.0592 0.7749
0.3649 0.4408 0.7749
0.3964 0.2500 0.3194
0.4424 0.7500 0.0085
0.5576 0.2500 0.9915
0.6036 0.7500 0.6806
0.6351 0.5592 0.2251
0.6351 0.9408 0.2251
0.7162 0.2500 0.4778
0.7838 0.7500 0.9778
0.8649 0.0592 0.7251
0.8649 0.4408 0.7251
0.8964 0.2500 0.1806
0.9424 0.7500 0.4915
```

Largest 6 diffraction maxima, in order of rising 2θ, 2θ from 15° to 90°:
hkl, two_theta, d (Å), I/Imax
0 1 1, 17.74, 5.000, 49
1 0 2, 25.67, 3.470, 44
2 0 1, 26.55, 3.357, 100
0 2 0, 27.50, 3.243, 49
1 2 1, 32.21, 2.780, 48
0 3 1, 43.41, 2.084, 20



[2]
This entry pairs a crystal structure of NaV3P3O13 with its computed powder XRD pattern. Radiation: Cu Kα (λ = 1.5418 Å). Structure: a crystal structure in Alexandria, relaxed with GGA+U.

Structure:
```
NaV3P3O13
1.0
7.4665 0.0000 0.0000
0.0000 6.3847 0.0000
-1.7328 0.0000 10.5520
Na V P O
2 6 6 26
Direct
0.1566 0.2500 0.1836
0.8434 0.7500 0.8164
0.1438 0.2500 0.8016
0.2738 0.7500 0.4460
0.5000 0.0000 0.0000
0.5000 0.5000 0.0000
0.7262 0.2500 0.5540
0.8562 0.7500 0.1984
0.1914 0.7500 0.1212
0.2454 0.7500 0.7686
0.2794 0.2500 0.5226
0.7206 0.7500 0.4774
0.7546 0.2500 0.2314
0.8086 0.2500 0.8788
0.0073 0.2500 0.9506
0.1277 0.5588 0.7928
0.1277 0.9412 0.7928
0.1511 0.7500 0.2599
0.1555 0.2500 0.6267
0.2306 0.0552 0.4383
0.2306 0.4448 0.4383
0.2954 0.5496 0.0960
0.2954 0.9504 0.0960
0.3076 0.7500 0.6405
0.3626 0.2500 0.9044
0.4173 0.7500 0.8776
0.4795 0.2500 0.5881
0.5205 0.7500 0.4119
0.5827 0.2500 0.1224
0.6374 0.7500 0.0956
0.6924 0.2500 0.3594
0.7046 0.0496 0.9040
0.7046 0.4504 0.9040
0.7694 0.5552 0.5617
0.7694 0.9448 0.5617
0.8445 0.7500 0.3733
0.8489 0.2500 0.7401
0.8723 0.0588 0.2072
0.8723 0.4412 0.2072
0.9927 0.7500 0.0494
```

Largest 6 diffraction maxima, in order of rising 2θ, 2θ from 15° to 90°:
hkl, two_theta, d (Å), I/Imax
1 0 -2, 19.04, 4.662, 78
1 0 2, 22.26, 3.994, 44
2 0 0, 24.16, 3.684, 59
0 2 0, 27.95, 3.192, 85
1 0 3, 29.87, 2.992, 63
2 0 -3, 32.23, 2.778, 100